No. 1
For La3Nd8Th, a crystal structure in Alexandria, relaxed with GGA-PBE gives the theoretical powder XRD pattern in this record (a wavelength of 1.5418 Å).
Intensities are scaled so that the largest is 100.

Most intense lines, 2θ from 10° to 80°, by intensity:
d 2.926, intensity 100; d 2.884, intensity 42; d 2.589, intensity 30; d 1.689, intensity 25; d 1.463, intensity 20; d 1.828, intensity 17; d 5.774, intensity 16; d 2.631, intensity 15; d 2.055, intensity 13; d 4.110, intensity 12

Structure:
Unit cell a=8.9392 b=8.9392 c=8.9392 alpha=136.51 beta=98.22 gamma=97.56
Atoms (fractional coordinates):
La (0.0000, 0.0000, 0.0000)
La (0.2704, 0.5000, 0.7704)
La (0.7296, 0.5000, 0.2296)
Nd (0.0852, 0.8320, 0.2530)
Nd (0.2514, 0.5007, 0.2474)
Nd (0.2534, 0.0040, 0.7526)
Nd (0.4210, 0.1680, 0.2533)
Nd (0.5790, 0.8323, 0.7470)
Nd (0.7466, 0.4993, 0.7507)
Nd (0.7486, 0.9960, 0.2493)
Nd (0.9148, 0.1677, 0.7467)
Th (0.5000, 0.0000, 0.5000)

=====

No. 2
For La3NdTh, a crystal structure in Alexandria, relaxed with GGA-PBE gives the theoretical powder XRD pattern in this record (a wavelength of 1.5418 Å).
Intensities are scaled so that the largest is 100.

Most intense lines, 2θ from 10° to 80°, by intensity:
d 2.935, intensity 100; d 2.692, intensity 87; d 3.036, intensity 72; d 1.571, intensity 68; d 3.022, intensity 67; d 1.839, intensity 50; d 2.563, intensity 38; d 1.787, intensity 23; d 3.116, intensity 21; d 1.625, intensity 20

Structure:
Unit cell a=3.6771 b=3.6771 c=30.2229 alpha=90.00 beta=90.00 gamma=120.00
Atoms (fractional coordinates):
La (0.0000, 0.0000, 0.0000)
La (0.0000, 0.0000, 0.5000)
La (0.3333, 0.6667, 0.1057)
La (0.3333, 0.6667, 0.7959)
La (0.6667, 0.3333, 0.2959)
La (0.6667, 0.3333, 0.6057)
Nd (0.3333, 0.6667, 0.4017)
Nd (0.6667, 0.3333, 0.9017)
Th (0.0000, 0.0000, 0.2010)
Th (0.0000, 0.0000, 0.7010)

=====

No. 3
For La4Nd6Th, a crystal structure in Alexandria, relaxed with GGA-PBE gives the theoretical powder XRD pattern in this record (a wavelength of 1.5418 Å).
Intensities are scaled so that the largest is 100.

Most intense lines, 2θ from 10° to 80°, by intensity:
d 3.105, intensity 100; d 2.825, intensity 67; d 1.572, intensity 28; d 2.539, intensity 21; d 3.086, intensity 17; d 1.858, intensity 16; d 3.158, intensity 13; d 2.466, intensity 13; d 1.520, intensity 12; d 1.998, intensity 12

Structure:
Unit cell a=8.9332 b=8.9332 c=9.8652 alpha=90.00 beta=90.00 gamma=90.00
Atoms (fractional coordinates):
La (0.1442, 0.3558, 0.2500)
La (0.1442, 0.3558, 0.7500)
La (0.3558, 0.8558, 0.2500)
La (0.3558, 0.8558, 0.7500)
La (0.6442, 0.1442, 0.2500)
La (0.6442, 0.1442, 0.7500)
La (0.8558, 0.6442, 0.2500)
La (0.8558, 0.6442, 0.7500)
Nd (0.0000, 0.0000, 0.1689)
Nd (0.0000, 0.0000, 0.8311)
Nd (0.1525, 0.6563, 0.0000)
Nd (0.1563, 0.6525, 0.5000)
Nd (0.3437, 0.1525, 0.0000)
Nd (0.3475, 0.1563, 0.5000)
Nd (0.5000, 0.5000, 0.3311)
Nd (0.5000, 0.5000, 0.6689)
Nd (0.6525, 0.8437, 0.5000)
Nd (0.6563, 0.8475, 0.0000)
Nd (0.8437, 0.3475, 0.5000)
Nd (0.8475, 0.3437, 0.0000)
Th (0.0000, 0.0000, 0.5000)
Th (0.5000, 0.5000, 0.0000)

=====

No. 4
For La12Nd3Th, a crystal structure in Alexandria, relaxed with GGA-PBE gives the theoretical powder XRD pattern in this record (a wavelength of 1.5418 Å).
Intensities are scaled so that the largest is 100.

Most intense lines, 2θ from 10° to 80°, by intensity:
d 3.024, intensity 100; d 2.619, intensity 51; d 1.852, intensity 36; d 1.578, intensity 29; d 1.202, intensity 17; d 1.581, intensity 14; d 1.512, intensity 12; d 1.308, intensity 4; d 1.312, intensity 2; d 5.238, intensity 1

Structure:
Unit cell a=5.2337 b=5.2337 c=20.9846 alpha=90.00 beta=90.00 gamma=90.00
Atoms (fractional coordinates):
La (0.0000, 0.0000, 0.0000)
La (0.0000, 0.0000, 0.2485)
La (0.0000, 0.0000, 0.5000)
La (0.0000, 0.0000, 0.7515)
La (0.0000, 0.5000, 0.1257)
La (0.0000, 0.5000, 0.3800)
La (0.0000, 0.5000, 0.6200)
La (0.0000, 0.5000, 0.8743)
La (0.5000, 0.0000, 0.1257)
La (0.5000, 0.0000, 0.3800)
La (0.5000, 0.0000, 0.6200)
La (0.5000, 0.0000, 0.8743)
Nd (0.5000, 0.5000, 0.0000)
Nd (0.5000, 0.5000, 0.2498)
Nd (0.5000, 0.5000, 0.7502)
Th (0.5000, 0.5000, 0.5000)

=====

No. 5
For La8Nd3Th2, a crystal structure in Alexandria, relaxed with GGA-PBE gives the theoretical powder XRD pattern in this record (a wavelength of 1.5418 Å).
Intensities are scaled so that the largest is 100.

Most intense lines, 2θ from 10° to 80°, by intensity:
d 2.990, intensity 100; d 2.868, intensity 88; d 3.024, intensity 88; d 2.874, intensity 70; d 2.386, intensity 31; d 3.391, intensity 28; d 3.439, intensity 23; d 2.791, intensity 21; d 1.617, intensity 21; d 1.739, intensity 20

Structure:
Unit cell a=8.8887 b=8.8887 c=12.1482 alpha=90.00 beta=90.00 gamma=94.24
Atoms (fractional coordinates):
La (0.0459, 0.9541, 0.8661)
La (0.1156, 0.3669, 0.9236)
La (0.1331, 0.3844, 0.5764)
La (0.1845, 0.8155, 0.3083)
La (0.3155, 0.6845, 0.8083)
La (0.3669, 0.1156, 0.0764)
La (0.3844, 0.1331, 0.4236)
La (0.4541, 0.5459, 0.3661)
La (0.5459, 0.4541, 0.6339)
La (0.6156, 0.8669, 0.5764)
La (0.6331, 0.8844, 0.9236)
La (0.6845, 0.3155, 0.1917)
La (0.8155, 0.1845, 0.6917)
La (0.8669, 0.6156, 0.4236)
La (0.8844, 0.6331, 0.0764)
La (0.9541, 0.0459, 0.1339)
Nd (0.0000, 0.0000, 0.5000)
Nd (0.1155, 0.3845, 0.2500)
Nd (0.3845, 0.1155, 0.7500)
Nd (0.5000, 0.5000, 0.0000)
Nd (0.6155, 0.8845, 0.2500)
Nd (0.8845, 0.6155, 0.7500)
Th (0.2397, 0.7603, 0.5742)
Th (0.2603, 0.7397, 0.0742)
Th (0.7397, 0.2603, 0.9258)
Th (0.7603, 0.2397, 0.4258)

=====

No. 6
For La9Nd4Th, a crystal structure in Alexandria, relaxed with GGA-PBE gives the theoretical powder XRD pattern in this record (a wavelength of 1.5418 Å).
Intensities are scaled so that the largest is 100.

Most intense lines, 2θ from 10° to 80°, by intensity:
d 2.884, intensity 100; d 2.906, intensity 60; d 2.841, intensity 38; d 1.821, intensity 24; d 1.462, intensity 24; d 1.682, intensity 21; d 1.691, intensity 17; d 2.537, intensity 15; d 4.110, intensity 13; d 1.911, intensity 11

Structure:
Unit cell a=10.1482 b=10.1482 c=11.6218 alpha=90.00 beta=90.00 gamma=120.00
Atoms (fractional coordinates):
La (0.0753, 0.5376, 0.2500)
La (0.2075, 0.4151, 0.5362)
La (0.2075, 0.4151, 0.9638)
La (0.2075, 0.7925, 0.5362)
La (0.2075, 0.7925, 0.9638)
La (0.4151, 0.2075, 0.0362)
La (0.4151, 0.2075, 0.4638)
La (0.4624, 0.5376, 0.2500)
La (0.4624, 0.9247, 0.2500)
La (0.5376, 0.0753, 0.7500)
La (0.5376, 0.4624, 0.7500)
La (0.5849, 0.7925, 0.5362)
La (0.5849, 0.7925, 0.9638)
La (0.7925, 0.2075, 0.0362)
La (0.7925, 0.2075, 0.4638)
La (0.7925, 0.5849, 0.0362)
La (0.7925, 0.5849, 0.4638)
La (0.9247, 0.4624, 0.7500)
Nd (0.0000, 0.0000, 0.0000)
Nd (0.0000, 0.0000, 0.5000)
Nd (0.1139, 0.2278, 0.2500)
Nd (0.1139, 0.8861, 0.2500)
Nd (0.2278, 0.1139, 0.7500)
Nd (0.7722, 0.8861, 0.2500)
Nd (0.8861, 0.1139, 0.7500)
Nd (0.8861, 0.7722, 0.7500)
Th (0.3333, 0.6667, 0.7500)
Th (0.6667, 0.3333, 0.2500)

=====

No. 7
For La6Nd2Th3, a crystal structure in Alexandria, relaxed with GGA-PBE gives the theoretical powder XRD pattern in this record (a wavelength of 1.5418 Å).
Intensities are scaled so that the largest is 100.

Most intense lines, 2θ from 10° to 80°, by intensity:
d 2.919, intensity 100; d 2.702, intensity 86; d 2.832, intensity 48; d 2.995, intensity 47; d 3.180, intensity 29; d 2.784, intensity 23; d 1.613, intensity 17; d 2.253, intensity 16; d 1.915, intensity 15; d 2.563, intensity 15

Structure:
Unit cell a=6.4996 b=6.4996 c=11.4859 alpha=94.45 beta=94.45 gamma=124.29
Atoms (fractional coordinates):
La (0.0943, 0.7838, 0.7748)
La (0.2162, 0.9057, 0.2252)
La (0.4194, 0.4194, 0.7278)
La (0.5806, 0.5806, 0.2722)
La (0.7838, 0.0943, 0.7748)
La (0.9057, 0.2162, 0.2252)
Nd (0.3562, 0.6438, 0.0000)
Nd (0.6438, 0.3562, 0.0000)
Th (0.0000, 0.0000, 0.5000)
Th (0.3218, 0.6782, 0.5000)
Th (0.6782, 0.3218, 0.5000)

=====

No. 8
For La4NdTh, a crystal structure in Alexandria, relaxed with GGA-PBE gives the theoretical powder XRD pattern in this record (a wavelength of 1.5418 Å).
Intensities are scaled so that the largest is 100.

Most intense lines, 2θ from 10° to 80°, by intensity:
d 2.850, intensity 100; d 2.821, intensity 70; d 3.104, intensity 51; d 2.885, intensity 49; d 1.834, intensity 33; d 3.332, intensity 31; d 2.749, intensity 29; d 1.756, intensity 28; d 1.666, intensity 27; d 2.777, intensity 25

Structure:
Unit cell a=6.6659 b=6.6659 c=10.9950 alpha=90.00 beta=90.00 gamma=118.89
Atoms (fractional coordinates):
La (0.1465, 0.3336, 0.7500)
La (0.1654, 0.8346, 0.5638)
La (0.1654, 0.8346, 0.9362)
La (0.3336, 0.1465, 0.2500)
La (0.6664, 0.8535, 0.7500)
La (0.8346, 0.1654, 0.0638)
La (0.8346, 0.1654, 0.4362)
La (0.8535, 0.6664, 0.2500)
Nd (0.3340, 0.6660, 0.2500)
Nd (0.6660, 0.3340, 0.7500)
Th (0.5000, 0.5000, 0.0000)
Th (0.5000, 0.5000, 0.5000)

=====

No. 9
For LaNd3Y6Th2, a crystal structure in Alexandria, relaxed with GGA-PBE gives the theoretical powder XRD pattern in this record (a wavelength of 1.5418 Å).
Intensities are scaled so that the largest is 100.

Most intense lines, 2θ from 10° to 80°, by intensity:
d 2.956, intensity 100; d 2.550, intensity 67; d 2.910, intensity 32; d 1.814, intensity 24; d 1.792, intensity 24; d 1.539, intensity 19; d 5.820, intensity 14; d 1.546, intensity 14; d 1.526, intensity 14; d 1.478, intensity 12

Structure:
Unit cell a=6.2842 b=6.2842 c=11.8279 alpha=95.10 beta=95.10 gamma=120.00
Atoms (fractional coordinates):
La (0.0000, 0.0000, 0.0000)
Nd (0.1664, 0.8336, 0.5000)
Nd (0.5000, 0.5000, 0.5000)
Nd (0.8336, 0.1664, 0.5000)
Y (0.0819, 0.4208, 0.2456)
Y (0.2569, 0.2569, 0.7541)
Y (0.4208, 0.0819, 0.2456)
Y (0.5792, 0.9181, 0.7544)
Y (0.7431, 0.7431, 0.2459)
Y (0.9181, 0.5792, 0.7544)
Th (0.3334, 0.6666, 0.0000)
Th (0.6666, 0.3334, 0.0000)

=====

No. 10
For La2Nd2Y6Th, a crystal structure in Alexandria, relaxed with GGA-PBE gives the theoretical powder XRD pattern in this record (a wavelength of 1.5418 Å).
Intensities are scaled so that the largest is 100.

Most intense lines, 2θ from 10° to 80°, by intensity:
d 2.819, intensity 100; d 2.896, intensity 41; d 2.917, intensity 41; d 2.940, intensity 30; d 2.063, intensity 22; d 1.657, intensity 20; d 2.635, intensity 18; d 1.512, intensity 17; d 4.690, intensity 16; d 1.489, intensity 16

Structure:
Unit cell a=6.7736 b=6.7736 c=10.5394 alpha=90.00 beta=90.00 gamma=129.37
Atoms (fractional coordinates):
La (0.2086, 0.7914, 0.0000)
La (0.7914, 0.2086, 0.0000)
Nd (0.1305, 0.8695, 0.5000)
Nd (0.8695, 0.1305, 0.5000)
Y (0.0000, 0.0000, 0.2035)
Y (0.0000, 0.0000, 0.7965)
Y (0.3520, 0.6480, 0.2971)
Y (0.3520, 0.6480, 0.7029)
Y (0.6480, 0.3520, 0.2971)
Y (0.6480, 0.3520, 0.7029)
Th (0.5000, 0.5000, 0.0000)

=====

No. 11
For La2Nd5YTh, a crystal structure in Alexandria, relaxed with GGA-PBE gives the theoretical powder XRD pattern in this record (a wavelength of 1.5418 Å).
Intensities are scaled so that the largest is 100.

Most intense lines, 2θ from 10° to 80°, by intensity:
d 2.855, intensity 100; d 3.003, intensity 43; d 2.882, intensity 38; d 1.658, intensity 21; d 3.299, intensity 20; d 1.687, intensity 14; d 2.678, intensity 14; d 1.540, intensity 14; d 2.170, intensity 13; d 1.605, intensity 11

Structure:
Unit cell a=10.7953 b=10.7953 c=10.7102 alpha=90.00 beta=90.00 gamma=149.04
Atoms (fractional coordinates):
La (0.1151, 0.8849, 0.5000)
La (0.1158, 0.8842, 0.0784)
La (0.8842, 0.1158, 0.5784)
La (0.8849, 0.1151, 0.0000)
Nd (0.0147, 0.9853, 0.7844)
Nd (0.2743, 0.7257, 0.0807)
Nd (0.2919, 0.7081, 0.4707)
Nd (0.3831, 0.6169, 0.7896)
Nd (0.4844, 0.5156, 0.5116)
Nd (0.5156, 0.4844, 0.0116)
Nd (0.6169, 0.3831, 0.2896)
Nd (0.7081, 0.2919, 0.9707)
Nd (0.7257, 0.2743, 0.5807)
Nd (0.9853, 0.0147, 0.2844)
Y (0.4038, 0.5962, 0.2307)
Y (0.5962, 0.4038, 0.7307)
Th (0.1998, 0.8002, 0.7775)
Th (0.8002, 0.1998, 0.2775)

=====

No. 12
For La4Nd5Tl4, a crystal structure in Alexandria, relaxed with GGA-PBE gives the theoretical powder XRD pattern in this record (a wavelength of 1.5418 Å).
Intensities are scaled so that the largest is 100.

Most intense lines, 2θ from 10° to 80°, by intensity:
d 2.938, intensity 100; d 2.663, intensity 39; d 2.491, intensity 18; d 1.584, intensity 16; d 1.819, intensity 14; d 1.943, intensity 13; d 2.841, intensity 10; d 1.511, intensity 9; d 1.658, intensity 9; d 1.489, intensity 7

Structure:
Unit cell a=9.3687 b=9.3687 c=9.3687 alpha=94.63 beta=94.63 gamma=147.00
Atoms (fractional coordinates):
La (0.0946, 0.3804, 0.4750)
La (0.3804, 0.9054, 0.2858)
La (0.6196, 0.0946, 0.7142)
La (0.9054, 0.6196, 0.5250)
Nd (0.0000, 0.0000, 0.0000)
Nd (0.3110, 0.5978, 0.9088)
Nd (0.4022, 0.3110, 0.7133)
Nd (0.5978, 0.6890, 0.2867)
Nd (0.6890, 0.4022, 0.0912)
Tl (0.1130, 0.7718, 0.8849)
Tl (0.2282, 0.1130, 0.3412)
Tl (0.7718, 0.8870, 0.6588)
Tl (0.8870, 0.2282, 0.1151)